The following is a simulated PXRD pattern of Ba2NpS4. It was derived from a crystal structure in Alexandria, relaxed with GGA-PBE, using λ = 1.5418 Å (Cu Kα).

Peak list (6 most intense, 2θ from 10° to 90°, by angle)
13.43°, I = 49, (1 1 0)
24.23°, I = 86, (1 3 0)
24.60°, I = 100, (1 1 1)
25.02°, I = 37, (0 2 1)
34.19°, I = 56, (2 2 1)
43.38°, I = 56, (0 6 0)

Cell and atoms:
```
data_Ba2NpS4
_chemical_formula_sum 'Ba4 Np2 S8'
_cell_length_a 7.7593
_cell_length_b 12.5104
_cell_length_c 4.3283
_cell_angle_alpha 90.00
_cell_angle_beta 90.00
_cell_angle_gamma 90.00
_symmetry_space_group_name_H-M 'P b a m'
_symmetry_Int_Tables_number 55
loop_
_symmetry_equiv_pos_as_xyz
'x,y,z'
'-x,-y,-z'
'-x,-y,z'
'x,y,-z'
'x+1/2,-y+1/2,-z'
'-x+1/2,y+1/2,z'
'-x+1/2,y+1/2,-z'
'x+1/2,-y+1/2,z'
loop_
_atom_site_label
_atom_site_fract_x
_atom_site_fract_y
_atom_site_fract_z
_atom_site_occupancy
Ba1 0.0790 0.1803 0.0000 1
Np1 0.0000 0.5000 0.5000 1
S1 0.1319 0.6950 0.5000 1
S2 0.2118 0.4500 0.0000 1
```